No. 1
Diffraction record for DyPS4. The XRD peak list is simulated, not measured: it uses a structure optimized by DFT (PBE) and Cu Kα.
Neutral-atom scattering factors, no anomalous dispersion.

Most intense lines, 15 to 90 degrees two-theta, low angle first:
Position (°2θ), Rel. int.
16.41, 100
18.58, 15
24.89, 62
29.96, 49
33.18, 19
37.23, 33
37.68, 15
38.29, 41
41.35, 23
41.92, 50
54.01, 16
57.29, 17

Cell and atoms:
```
data_DyPS4
_cell_length_a 10.802
_cell_length_b 10.802
_cell_length_c 19.097
_cell_angle_alpha 90.00
_cell_angle_beta 90.00
_cell_angle_gamma 90.00
_symmetry_space_group_name_H-M 'I 41/a c d'
_symmetry_Int_Tables_number 142
loop_
_symmetry_equiv_pos_as_xyz
'x,y,z'
'-x,-y,-z'
'-y+1/4,x+3/4,z+1/4'
'y+1/4,-x+3/4,-z+1/4'
'-x+1/2,-y,z+1/2'
'x+1/2,y,-z+1/2'
'y+1/4,-x+1/4,z+3/4'
'-y+1/4,x+1/4,-z+3/4'
'x,-y,-z+1/2'
'-x,y,z+1/2'
'-y+1/4,-x+1/4,-z+1/4'
'y+1/4,x+1/4,z+1/4'
'-x+1/2,y,-z'
'x+1/2,-y,z'
'y+1/4,x+3/4,-z+3/4'
'-y+1/4,-x+3/4,z+3/4'
'x+1/2,y+1/2,z+1/2'
'-x+1/2,-y+1/2,-z+1/2'
'-y+3/4,x+1/4,z+3/4'
'y+3/4,-x+1/4,-z+3/4'
'-x,-y+1/2,z'
'x,y+1/2,-z'
'y+3/4,-x+3/4,z+1/4'
'-y+3/4,x+3/4,-z+1/4'
'x+1/2,-y+1/2,-z'
'-x+1/2,y+1/2,z'
'-y+3/4,-x+3/4,-z+3/4'
'y+3/4,x+3/4,z+3/4'
'-x,y+1/2,-z+1/2'
'x,-y+1/2,z+1/2'
'y+3/4,x+1/4,-z+1/4'
'-y+3/4,-x+1/4,z+1/4'
loop_
_atom_site_label
_atom_site_type_symbol
_atom_site_fract_x
_atom_site_fract_y
_atom_site_fract_z
Dy1 Dy 0.000 0.250 0.125
Dy2 Dy 0.000 0.250 0.375
P1 P 0.038 0.000 0.250
S1 S 0.064 0.004 0.840
S2 S 0.087 0.114 0.003
```

=====

No. 2
Diffraction record for DyTlP2Se6. The XRD peak list is simulated, not measured: it uses a structure optimized by DFT (PBE) and Cu Kα.
Neutral-atom scattering factors, no anomalous dispersion.

Most intense lines, 15 to 90 degrees two-theta, low angle first:
Position (°2θ), Rel. int.
17.00, 53
19.44, 56
24.78, 92
28.94, 95
29.62, 63
29.90, 91
30.90, 100
31.31, 45
34.39, 63
34.86, 67
36.05, 53
37.61, 46

Cell and atoms:
```
data_DyTlP2Se6
_cell_length_a 6.874
_cell_length_b 7.654
_cell_length_c 10.432
_cell_angle_alpha 90.00
_cell_angle_beta 91.06
_cell_angle_gamma 90.00
_symmetry_space_group_name_H-M 'P 1 21 1'
_symmetry_Int_Tables_number 4
loop_
_symmetry_equiv_pos_as_xyz
'x,y,z'
'-x,y+1/2,-z'
loop_
_atom_site_label
_atom_site_type_symbol
_atom_site_fract_x
_atom_site_fract_y
_atom_site_fract_z
Dy1 Dy 0.217 0.000 0.002
Tl1 Tl 0.316 0.223 0.508
P1 P 0.189 0.731 0.294
P2 P 0.314 0.513 0.173
Se1 Se 0.066 0.308 0.832
Se2 Se 0.076 0.313 0.166
Se3 Se 0.153 0.639 0.487
Se4 Se 0.373 0.639 0.983
Se5 Se 0.399 0.943 0.266
Se6 Se 0.409 0.916 0.747
```

=====

No. 3
Diffraction record for DyZn3P3. The XRD peak list is simulated, not measured: it uses a structure optimized by DFT (PBE) and Cu Kα.
Neutral-atom scattering factors, no anomalous dispersion.

Most intense lines, 15 to 90 degrees two-theta, low angle first:
Position (°2θ), Rel. int.
27.22, 100
31.46, 67
34.33, 35
36.22, 28
37.57, 58
45.26, 68
53.18, 17
53.62, 15
59.29, 39
60.23, 14
78.44, 13
83.58, 13

Cell and atoms:
```
data_DyZn3P3
_cell_length_a 4.0071
_cell_length_b 4.0071
_cell_length_c 19.8393
_cell_angle_alpha 90.00
_cell_angle_beta 90.00
_cell_angle_gamma 120.00
_symmetry_space_group_name_H-M 'P 63/m m c'
_symmetry_Int_Tables_number 194
_symmetry_space_group_name_Hall '-P 6c 2c'
loop_
_atom_site_label
_atom_site_type_symbol
_atom_site_fract_x
_atom_site_fract_y
_atom_site_fract_z
Dy1 Dy 0.0000 0.0000 0.0000
Zn1 Zn 0.3333 0.6667 0.1283
Zn2 Zn 0.3333 0.6667 0.7500
P1 P 0.3333 0.6667 0.2500
P2 P 0.3333 0.6667 0.5837
```

=====

No. 4
Diffraction record for Dy5Pb4. The XRD peak list is simulated, not measured: it uses a structure optimized by DFT (PBE) and Cu Kα.
Neutral-atom scattering factors, no anomalous dispersion.

Most intense lines, 15 to 90 degrees two-theta, low angle first:
Position (°2θ), Rel. int.
29.59, 100
29.69, 39
30.68, 37
31.40, 26
32.37, 32
33.37, 77
34.25, 30
34.53, 34
34.78, 57
35.01, 33
45.12, 24
63.34, 23

Cell and atoms:
```
data_Dy5Pb4
_cell_length_a 8.207
_cell_length_b 15.709
_cell_length_c 8.277
_cell_angle_alpha 90.00
_cell_angle_beta 90.00
_cell_angle_gamma 90.00
_symmetry_space_group_name_H-M 'P n m a'
_symmetry_Int_Tables_number 62
loop_
_symmetry_equiv_pos_as_xyz
'x,y,z'
'-x,-y,-z'
'-x+1/2,-y,z+1/2'
'x+1/2,y,-z+1/2'
'x+1/2,-y+1/2,-z+1/2'
'-x+1/2,y+1/2,z+1/2'
'-x,y+1/2,-z'
'x,-y+1/2,z'
loop_
_atom_site_label
_atom_site_type_symbol
_atom_site_fract_x
_atom_site_fract_y
_atom_site_fract_z
Dy1 Dy 0.036 0.100 0.177
Dy2 Dy 0.124 0.621 0.341
Dy3 Dy 0.208 0.250 0.504
Pb1 Pb 0.071 0.250 0.874
Pb2 Pb 0.154 0.750 0.653
Pb3 Pb 0.219 0.042 0.532
```

=====

No. 5
Diffraction record for DyPb3. The XRD peak list is simulated, not measured: it uses a structure optimized by DFT (PBE) and Cu Kα.
Neutral-atom scattering factors, no anomalous dispersion.

Most intense lines, 15 to 90 degrees two-theta, low angle first:
Position (°2θ), Rel. int.
18.11, 1
25.72, 1
31.64, 100
36.70, 51
41.21, 1
52.87, 36
62.94, 43
66.08, 13
78.04, 6
86.64, 19
89.48, 18

Cell and atoms:
```
data_DyPb3
_cell_length_a 4.898
_cell_length_b 4.898
_cell_length_c 4.898
_cell_angle_alpha 90.00
_cell_angle_beta 90.00
_cell_angle_gamma 90.00
_symmetry_space_group_name_H-M 'P m -3 m'
_symmetry_Int_Tables_number 221
_symmetry_space_group_name_Hall '-P 4 2 3'
loop_
_atom_site_label
_atom_site_type_symbol
_atom_site_fract_x
_atom_site_fract_y
_atom_site_fract_z
Dy1 Dy 0.000 0.000 0.000
Pb1 Pb 0.000 0.500 0.500
```

=====

No. 6
Diffraction record for Dy5Pb3. The XRD peak list is simulated, not measured: it uses a structure optimized by DFT (PBE) and Cu Kα.
Neutral-atom scattering factors, no anomalous dispersion.

Most intense lines, 15 to 90 degrees two-theta, low angle first:
Position (°2θ), Rel. int.
26.83, 23
30.10, 24
33.04, 100
33.43, 71
34.24, 38
42.10, 12
43.72, 17
48.61, 15
51.47, 29
55.30, 12
58.23, 12
65.74, 22

Cell and atoms:
```
data_Dy5Pb3
_cell_length_a 9.0716
_cell_length_b 9.0716
_cell_length_c 6.6449
_cell_angle_alpha 90.00
_cell_angle_beta 90.00
_cell_angle_gamma 120.00
_symmetry_space_group_name_H-M 'P 63/m c m'
_symmetry_Int_Tables_number 193
_symmetry_space_group_name_Hall '-P 6c 2'
loop_
_atom_site_label
_atom_site_type_symbol
_atom_site_fract_x
_atom_site_fract_y
_atom_site_fract_z
Dy1 Dy 0.0000 0.2375 0.2500
Dy2 Dy 0.3333 0.6667 0.0000
Pb1 Pb 0.0000 0.3945 0.7500
```